# 1
Starting from the PBE geometry in the Materials Project, the powder XRD pattern of Li2CuP4O12 was simulated for Cu Kα (weighted mean of Kα1 and Kα2).
Intensities are scaled so that the largest is 100.

Principal peaks in the range 2θ = 10–90°, in order of falling intensity:
| d_spacing | I (rel.) |
| --- | --- |
| 7.653 | 100.0 |
| 3.642 | 71.4 |
| 5.267 | 49.9 |
| 2.911 | 33.7 |
| 3.430 | 28.1 |
| 3.802 | 19.8 |
| 2.868 | 19.7 |
| 2.550 | 14.9 |
| 3.090 | 11.7 |
| 6.180 | 10.0 |

Atomic structure:
Cell: 7.9080 7.9080 8.2661 Å, 95.64 95.64 102.79°
Fractional coordinates of all 38 atoms:
Li (0.1073, 0.4777, 0.5940)
Li (0.1787, 0.8213, 0.5000)
Li (0.4777, 0.1073, 0.0940)
Li (0.8213, 0.1787, 0.0000)
Cu (0.4727, 0.7614, 0.7962)
Cu (0.7614, 0.4727, 0.2962)
P (0.1002, 0.4739, 0.1210)
P (0.1487, 0.8038, 0.9602)
P (0.4148, 0.5820, 0.3542)
P (0.4739, 0.1002, 0.6210)
P (0.5820, 0.4148, 0.8542)
P (0.6857, 0.8327, 0.2232)
P (0.8038, 0.1487, 0.4602)
P (0.8327, 0.6857, 0.7232)
O (0.0420, 0.3510, 0.9668)
O (0.1208, 0.6778, 0.1015)
O (0.2259, 0.7126, 0.8248)
O (0.2326, 0.9827, 0.0423)
O (0.2970, 0.4683, 0.1926)
O (0.3013, 0.6233, 0.4820)
O (0.3510, 0.0420, 0.4668)
O (0.4460, 0.9929, 0.7622)
O (0.4683, 0.2970, 0.6926)
O (0.4879, 0.5543, 0.9012)
O (0.4988, 0.7635, 0.2876)
O (0.5543, 0.4879, 0.4012)
O (0.6233, 0.3013, 0.9820)
O (0.6571, 0.9426, 0.0887)
O (0.6778, 0.1208, 0.6015)
O (0.6839, 0.7728, 0.6893)
O (0.7126, 0.2259, 0.3248)
O (0.7635, 0.4988, 0.7876)
O (0.7728, 0.6839, 0.1893)
O (0.8012, 0.9512, 0.3841)
O (0.9426, 0.6571, 0.5887)
O (0.9512, 0.8012, 0.8841)
O (0.9827, 0.2326, 0.5423)
O (0.9929, 0.4460, 0.2622)



# 2
Starting from the PBE geometry in the Materials Project, the powder XRD pattern of CaTe was simulated for Cu Kα (weighted mean of Kα1 and Kα2).
Intensities are scaled so that the largest is 100.

Principal peaks in the range 2θ = 10–90°, in order of falling intensity:
| d_spacing | I (rel.) |
| --- | --- |
| 2.776 | 100.0 |
| 1.603 | 36.5 |
| 3.926 | 28.7 |
| 1.963 | 17.8 |
| 1.242 | 15.1 |
| 1.756 | 12.9 |
| 1.388 | 11.1 |
| 2.267 | 9.1 |
| 1.309 | 6.2 |
| 1.133 | 3.8 |

Atomic structure:
Cell: 3.9260 3.9260 3.9260 Å, 90.00 90.00 90.00°
Fractional coordinates of all 2 atoms:
Ca (0.0000, 0.0000, 0.0000)
Te (0.5000, 0.5000, 0.5000)